Computed powder diffractogram of Pr7Al7Co6 for CuKα, from a DFT-relaxed cell (GGA-PBE, Alexandria).
Intensities are scaled so that the largest is 100.

Main lines, by angle (2θ from 10° to 90°):
two_theta	d (Å)	Rel. int.	index
23.09	3.852	24	1 1 1
25.63	3.475	33	2 1 1
33.44	2.679	100	4 0 1
34.66	2.588	55	3 3 1
35.90	2.501	24	4 2 1
36.42	2.467	22	4 4 0
38.78	2.322	48	4 3 1
39.27	2.294	37	6 1 0
43.25	2.092	35	0 0 2
58.86	1.569	23	8 2 1

Cell and atoms:
```
Pr7Al7Co6
1.0
13.9559 0.0000 0.0000
0.0000 13.9559 0.0000
0.0000 0.0000 4.1835
Pr Al Co
14 14 12
direct
0.0000 0.0000 0.0000 Pr
0.0476 0.2615 0.0000 Pr
0.1318 0.6318 0.5000 Pr
0.2385 0.4524 0.0000 Pr
0.2615 0.9524 0.0000 Pr
0.3682 0.1318 0.5000 Pr
0.4524 0.7615 0.0000 Pr
0.5000 0.5000 0.0000 Pr
0.5476 0.2385 0.0000 Pr
0.6318 0.8682 0.5000 Pr
0.7385 0.0476 0.0000 Pr
0.7615 0.5476 0.0000 Pr
0.8682 0.3682 0.5000 Pr
0.9524 0.7385 0.0000 Pr
0.0000 0.5000 0.0000 Al
0.0992 0.8604 0.5000 Al
0.1396 0.0992 0.5000 Al
0.2146 0.2854 0.5000 Al
0.2854 0.7854 0.5000 Al
0.3604 0.5992 0.5000 Al
0.4008 0.3604 0.5000 Al
0.5000 0.0000 0.0000 Al
0.5992 0.6396 0.5000 Al
0.6396 0.4008 0.5000 Al
0.7146 0.2146 0.5000 Al
0.7854 0.7146 0.5000 Al
0.8604 0.9008 0.5000 Al
0.9008 0.1396 0.5000 Al
0.0728 0.4272 0.5000 Co
0.1656 0.7889 0.0000 Co
0.2111 0.1656 0.0000 Co
0.2889 0.6656 0.0000 Co
0.3344 0.2889 0.0000 Co
0.4272 0.9272 0.5000 Co
0.5728 0.0728 0.5000 Co
0.6656 0.7111 0.0000 Co
0.7111 0.3344 0.0000 Co
0.7889 0.8344 0.0000 Co
0.8344 0.2111 0.0000 Co
0.9272 0.5728 0.5000 Co
```